Computed PXRD pattern
Compound: NaSrS2O6
Radiation: λ = 1.5418 Å (Cu Kα)
Structure: a cell relaxed with PBE
Intensities are scaled so that the largest is 1000.

Structural model:
Lattice parameters (Å, degrees): 5.4412 5.4412 17.9458 90.00 90.00 120.00
Space group R-3 (No. 148, hexagonal axes)
Unique sites:
Na: 0.0000 0.0000 0.0000 x3
Sr: 0.0000 0.0000 0.5000 x3
S: 0.0000 0.0000 0.2775 x6
O: 0.0252 0.2744 0.7519 x18

The 12 most intense peaks (2θ = 10–90°), by angle:
| 2θ (°) | intensity | (hkl) |
| --- | --- | --- |
| 19.48 | 289 | 1 0 1 |
| 27.45 | 1000 | 1 0 4 |
| 31.33 | 262 | 0 1 5 |
| 32.92 | 324 | 1 1 0 |
| 36.27 | 141 | 1 1 3 |
| 43.38 | 129 | 0 2 4 |
| 44.74 | 155 | 0 1 8 |
| 45.05 | 177 | 1 1 6 |
| 55.51 | 136 | 3 -1 4 |
| 57.29 | 130 | 2 -1 9 |
| 57.79 | 106 | 3 -2 5 |
| 58.79 | 131 | 3 0 0 |